Simulated X-ray powder pattern
Compound: PmFe9B4
Radiation: Cu Kα X-rays
Structure: a structure optimized by DFT (PBE)
Intensities are scaled so that the largest is 100.

Main lines, by angle (10 to 80 degrees two-theta):
- 32.72 deg, I = 17, (0 0 4)
- 36.55 deg, I = 45, (2 1 3)
- 37.02 deg, I = 23, (1 1 4)
- 37.95 deg, I = 11, (2 2 2)
- 40.94 deg, I = 14, (2 0 4)
- 41.79 deg, I = 100, (3 1 2)
- 44.69 deg, I = 17, (3 2 1)
- 55.22 deg, I = 14, (4 2 0)
- 65.68 deg, I = 10, (4 2 4)
- 72.58 deg, I = 10, (4 0 6)

Structure:
```
data_PmFe9B4
_chemical_formula_sum 'Pm4 Fe36 B16'
_symmetry_space_group_name_H-M 'I 4/m c m'
_symmetry_Int_Tables_number 140
_symmetry_space_group_name_Hall '-I 4 2c'
_cell_length_a 7.439
_cell_length_b 7.439
_cell_length_c 10.948
_cell_angle_alpha 90.00
_cell_angle_beta 90.00
_cell_angle_gamma 90.00
loop_
_atom_site_label
_atom_site_type_symbol
_atom_site_fract_x
_atom_site_fract_y
_atom_site_fract_z
Pm1 Pm 0.000 0.000 0.250
Fe1 Fe 0.000 0.500 0.000
Fe2 Fe 0.094 0.187 0.000
Fe3 Fe 0.139 0.361 0.330
B1 B 0.152 0.348 0.147
```



Simulated X-ray powder pattern
Compound: Pm2Fe5B4
Radiation: Cu Kα X-rays
Structure: a structure optimized by DFT (PBE)
Intensities are scaled so that the largest is 100.

Main lines, by angle (10 to 80 degrees two-theta):
- 21.45 deg, I = 28, (1 1 1)
- 31.87 deg, I = 100, (1 1 3)
- 37.18 deg, I = 52, (0 4 0)
- 38.17 deg, I = 52, (0 2 4)
- 40.22 deg, I = 87, (2 2 0)
- 41.62 deg, I = 60, (1 3 3)
- 49.35 deg, I = 29, (2 0 4)
- 57.03 deg, I = 20, (1 5 3)
- 63.38 deg, I = 27, (2 4 4)
- 69.08 deg, I = 18, (2 6 0)

Structure:
```
data_Pm2Fe5B4
_chemical_formula_sum 'Pm8 Fe20 B16'
_symmetry_space_group_name_H-M 'F m m m'
_symmetry_Int_Tables_number 69
_symmetry_space_group_name_Hall '-F 2 2'
_cell_length_a 5.062
_cell_length_b 9.672
_cell_length_c 10.803
_cell_angle_alpha 90.00
_cell_angle_beta 90.00
_cell_angle_gamma 90.00
loop_
_atom_site_label
_atom_site_type_symbol
_atom_site_fract_x
_atom_site_fract_y
_atom_site_fract_z
Pm1 Pm 0.000 0.000 0.147
Fe1 Fe 0.000 0.000 0.500
Fe2 Fe 0.250 0.250 0.000
Fe3 Fe 0.250 0.250 0.250
B1 B 0.000 0.157 0.367
```



Simulated X-ray powder pattern
Compound: PmFe2Si2B
Radiation: Cu Kα X-rays
Structure: a structure optimized by DFT (PBE)
Intensities are scaled so that the largest is 100.

Main lines, by angle (10 to 80 degrees two-theta):
- 22.73 deg, I = 23, (1 0 0)
- 28.34 deg, I = 50, (1 0 1)
- 33.79 deg, I = 21, (0 0 2)
- 36.63 deg, I = 100, (1 1 1)
- 41.11 deg, I = 46, (1 0 2)
- 46.42 deg, I = 39, (2 0 0)
- 58.64 deg, I = 16, (2 0 2)
- 62.32 deg, I = 17, (1 1 3)
- 63.72 deg, I = 25, (2 1 2)
- 79.56 deg, I = 20, (3 1 1)

Structure:
```
data_PmFe2Si2B
_chemical_formula_sum 'Pm1 Fe2 Si2 B1'
_symmetry_space_group_name_H-M 'P 4/m m m'
_symmetry_Int_Tables_number 123
_symmetry_space_group_name_Hall '-P 4 2'
_cell_length_a 3.913
_cell_length_b 3.913
_cell_length_c 5.305
_cell_angle_alpha 90.00
_cell_angle_beta 90.00
_cell_angle_gamma 90.00
loop_
_atom_site_label
_atom_site_type_symbol
_atom_site_fract_x
_atom_site_fract_y
_atom_site_fract_z
Pm1 Pm 0.000 0.000 0.000
Fe1 Fe 0.000 0.500 0.500
Si1 Si 0.500 0.500 0.235
B1 B 0.000 0.000 0.500
```



Simulated X-ray powder pattern
Compound: PrFeB14
Radiation: Cu Kα X-rays
Structure: a structure optimized by DFT (PBE)
Intensities are scaled so that the largest is 100.

Main lines, by angle (10 to 80 degrees two-theta):
- 16.49 deg, I = 100, (0 2 0)
- 18.52 deg, I = 31, (1 0 1)
- 24.89 deg, I = 69, (1 2 1)
- 27.51 deg, I = 80, (1 1 2)
- 33.21 deg, I = 31, (0 1 3)
- 33.53 deg, I = 70, (2 1 1)
- 36.42 deg, I = 56, (1 3 2)
- 39.55 deg, I = 36, (1 2 3)
- 41.03 deg, I = 27, (0 3 3)
- 41.29 deg, I = 67, (2 3 1)

Structure:
```
data_PrFeB14
_chemical_formula_sum 'Pr4 Fe4 B56'
_symmetry_space_group_name_H-M 'I m m a'
_symmetry_Int_Tables_number 74
_symmetry_space_group_name_Hall '-I 2b 2'
_cell_length_a 5.846
_cell_length_b 10.752
_cell_length_c 8.360
_cell_angle_alpha 90.00
_cell_angle_beta 90.00
_cell_angle_gamma 90.00
loop_
_atom_site_label
_atom_site_type_symbol
_atom_site_fract_x
_atom_site_fract_y
_atom_site_fract_z
Pr1 Pr 0.000 0.250 0.130
Fe1 Fe 0.250 0.250 0.750
B1 B 0.000 0.087 0.666
B2 B 0.000 0.132 0.865
B3 B 0.000 0.166 0.467
B4 B 0.161 0.058 0.340
B5 B 0.249 0.078 0.548
```



Simulated X-ray powder pattern
Compound: Pr4Fe3B6
Radiation: Cu Kα X-rays
Structure: a structure optimized by DFT (PBE)
Intensities are scaled so that the largest is 100.

Main lines, by angle (10 to 80 degrees two-theta):
- 23.37 deg, I = 34, (0 0 6)
- 33.07 deg, I = 100, (1 1 0)
- 33.45 deg, I = 29, (1 0 7)
- 36.85 deg, I = 20, (0 1 8)
- 40.89 deg, I = 65, (1 1 6)
- 47.76 deg, I = 16, (0 0 12)
- 59.06 deg, I = 22, (3 0 0)
- 59.32 deg, I = 25, (1 1 12)
- 64.40 deg, I = 13, (3 0 6)
- 79.27 deg, I = 13, (3 0 12)

Structure:
```
data_Pr4Fe3B6
_chemical_formula_sum 'Pr12 Fe9 B18'
_symmetry_space_group_name_H-M 'R -3 m'
_symmetry_Int_Tables_number 166
_symmetry_space_group_name_Hall '-R 3 2"'
_cell_length_a 5.4182
_cell_length_b 5.4182
_cell_length_c 22.8411
_cell_angle_alpha 90.00
_cell_angle_beta 90.00
_cell_angle_gamma 120.00
loop_
_atom_site_label
_atom_site_type_symbol
_atom_site_fract_x
_atom_site_fract_y
_atom_site_fract_z
Pr1 Pr 0.0000 0.0000 0.0892
Pr2 Pr 0.0000 0.0000 0.2431
Fe1 Fe 0.0000 0.0000 0.3831
Fe2 Fe 0.0000 0.0000 0.5000
B1 B 0.0004 0.3333 0.3333
```



Simulated X-ray powder pattern
Compound: FeReB
Radiation: Cu Kα X-rays
Structure: a structure optimized by DFT (PBE)
Intensities are scaled so that the largest is 100.

Main lines, by angle (10 to 80 degrees two-theta):
- 20.95 deg, I = 36, (0 2 0)
- 27.82 deg, I = 15, (0 2 1)
- 37.18 deg, I = 100, (1 1 1)
- 42.62 deg, I = 73, (0 2 2)
- 44.43 deg, I = 28, (1 3 0)
- 46.67 deg, I = 17, (0 4 1)
- 48.35 deg, I = 37, (1 3 1)
- 66.38 deg, I = 24, (1 1 3)
- 75.40 deg, I = 22, (1 5 2)
- 79.22 deg, I = 23, (2 2 2)

Structure:
```
data_FeReB
_chemical_formula_sum 'Fe4 Re4 B4'
_symmetry_space_group_name_H-M 'C m c m'
_symmetry_Int_Tables_number 63
_symmetry_space_group_name_Hall '-C 2c 2'
_cell_length_a 2.943
_cell_length_b 8.482
_cell_length_c 4.901
_cell_angle_alpha 90.00
_cell_angle_beta 90.00
_cell_angle_gamma 90.00
loop_
_atom_site_label
_atom_site_type_symbol
_atom_site_fract_x
_atom_site_fract_y
_atom_site_fract_z
Fe1 Fe 0.000 0.000 0.000
Re1 Re 0.000 0.283 0.250
B1 B 0.000 0.410 0.750
```



Simulated X-ray powder pattern
Compound: Fe21Re2B6
Radiation: Cu Kα X-rays
Structure: a structure optimized by DFT (PBE)
Intensities are scaled so that the largest is 100.

Main lines, by angle (10 to 80 degrees two-theta):
- 16.77 deg, I = 47, (2 0 0)
- 23.81 deg, I = 28, (2 2 0)
- 38.07 deg, I = 88, (4 2 0)
- 41.86 deg, I = 89, (4 2 2)
- 44.53 deg, I = 100, (3 3 3)
- 48.73 deg, I = 50, (4 4 0)
- 51.12 deg, I = 27, (5 3 1)
- 57.86 deg, I = 28, (6 2 2)
- 73.93 deg, I = 25, (6 4 4)
- 76.45 deg, I = 44, (6 6 0)

Structure:
```
data_Fe21Re2B6
_chemical_formula_sum 'Fe84 Re8 B24'
_symmetry_space_group_name_H-M 'F m -3 m'
_symmetry_Int_Tables_number 225
_symmetry_space_group_name_Hall '-F 4 2 3'
_cell_length_a 10.572
_cell_length_b 10.572
_cell_length_c 10.572
_cell_angle_alpha 90.00
_cell_angle_beta 90.00
_cell_angle_gamma 90.00
loop_
_atom_site_label
_atom_site_type_symbol
_atom_site_fract_x
_atom_site_fract_y
_atom_site_fract_z
Fe1 Fe 0.000 0.000 0.000
Fe2 Fe 0.000 0.171 0.171
Fe3 Fe 0.119 0.119 0.381
Re1 Re 0.250 0.250 0.250
B1 B 0.000 0.000 0.277
```



Simulated X-ray powder pattern
Compound: Fe4BRh6
Radiation: Cu Kα X-rays
Structure: a structure optimized by DFT (PBE)
Intensities are scaled so that the largest is 100.

Main lines, by angle (10 to 80 degrees two-theta):
- 31.47 deg, I = 10, (1 1 2)
- 34.05 deg, I = 14, (2 1 1)
- 37.52 deg, I = 28, (2 0 2)
- 39.30 deg, I = 13, (1 0 3)
- 40.26 deg, I = 100, (2 1 2)
- 40.48 deg, I = 8, (2 2 0)
- 45.51 deg, I = 44, (3 1 0)
- 49.37 deg, I = 15, (0 0 4)
- 65.50 deg, I = 8, (3 2 3)
- 69.40 deg, I = 12, (3 1 4)

Structure:
```
data_Fe4BRh6
_chemical_formula_sum 'Fe8 B2 Rh12'
_symmetry_space_group_name_H-M 'P 4/m n c'
_symmetry_Int_Tables_number 128
_symmetry_space_group_name_Hall '-P 4 2n'
_cell_length_a 6.302
_cell_length_b 6.302
_cell_length_c 7.384
_cell_angle_alpha 90.00
_cell_angle_beta 90.00
_cell_angle_gamma 90.00
loop_
_atom_site_label
_atom_site_type_symbol
_atom_site_fract_x
_atom_site_fract_y
_atom_site_fract_z
Fe1 Fe 0.132 0.368 0.250
B1 B 0.000 0.000 0.000
Rh1 Rh 0.000 0.000 0.302
Rh2 Rh 0.138 0.688 0.000
```